Entry 1:
# SeS2N2Cl2
Theoretical powder diffractogram, Cu Kα (λ = 1.5418 Å). Input: a GGA-PBE-relaxed structure.
Intensities are scaled so that the largest is 100.

Cell: 10.7576 9.6567 14.1770 Å, 90.00 104.52 90.00°
Space group P2_1/c (No. 14)
Asymmetric unit:
1 Se 0.0436 0.2192 0.4992
2 Se 0.3553 0.6892 0.9505
3 S 0.1855 0.1315 0.1723
4 S 0.2152 0.7185 0.3103
5 S 0.2432 0.1308 0.5817
6 S 0.4450 0.5724 0.3588
7 N 0.0575 0.1458 0.0888
8 N 0.2804 0.2471 0.6654
9 N 0.3074 0.5964 0.2909
10 N 0.4754 0.6827 0.4443
11 Cl 0.0911 0.5413 0.9023
12 Cl 0.1081 0.1606 0.8773
13 Cl 0.2683 0.6764 0.5683
14 Cl 0.4451 0.5073 0.8611

Largest 10 diffraction maxima, in order of rising 2θ, 2θ from 10° to 90°:
two_theta, I (rel.), (hkl)
12.90, 82, 0 0 2
15.84, 74, 0 1 2
18.37, 37, 0 2 0
19.37, 100, 2 1 0
20.80, 54, 2 1 -2
22.52, 33, 0 2 2
26.85, 27, 0 2 3
29.14, 54, 2 2 -3
31.68, 63, 3 0 2
33.11, 42, 2 2 -4

Entry 2:
# CsK3
Theoretical powder diffractogram, Cu Kα (λ = 1.5418 Å). Input: a GGA-PBE-relaxed structure.
Intensities are scaled so that the largest is 100.

Cell: 11.0202 11.0202 11.0202 Å, 90.00 90.00 90.00°
Space group Fm-3m (No. 225)
Asymmetric unit:
1 Cs 0.0000 0.0000 0.0000
2 K 0.0000 0.0000 0.5000
3 K 0.2500 0.2500 0.2500

Largest 10 diffraction maxima, in order of rising 2θ, 2θ from 10° to 90°:
two_theta, I (rel.), (hkl)
13.92, 24, 1 1 1
16.09, 13, 2 0 0
22.82, 100, 2 2 0
26.83, 16, 3 1 1
32.50, 20, 4 0 0
40.08, 42, 4 2 2
46.62, 13, 4 4 0
52.52, 18, 6 2 0
63.13, 20, 6 4 2
72.82, 10, 8 2 2

Entry 3:
# Na4MgTi2Ge2O10
Theoretical powder diffractogram, Cu Kα (λ = 1.5418 Å). Input: a GGA-PBE-relaxed structure.
Intensities are scaled so that the largest is 100.

Cell: 6.6350 6.6350 5.8387 Å, 90.00 90.00 90.00°
Space group P4mm (No. 99)
Asymmetric unit:
1 Na 0.2265 0.2265 0.0000
2 Mg 0.5000 0.5000 0.1811
3 Ti 0.0000 0.0000 0.5478
4 Ti 0.5000 0.5000 0.5702
5 Ge 0.0000 0.5000 0.4890
6 O 0.0000 0.0000 0.2452
7 O 0.0000 0.2841 0.6736
8 O 0.2172 0.5000 0.3108
9 O 0.5000 0.5000 0.8733

Largest 10 diffraction maxima, in order of rising 2θ, 2θ from 10° to 90°:
two_theta, I (rel.), (hkl)
15.17, 47, 0 0 1
24.34, 19, 1 1 1
26.87, 36, 2 0 0
31.00, 100, 2 0 1
33.89, 12, 2 1 1
38.37, 21, 2 2 0
49.87, 31, 2 2 2
54.68, 20, 2 0 3
55.39, 21, 4 0 0
64.84, 19, 4 2 1

Entry 4:
# LiSnPCO7
Theoretical powder diffractogram, Cu Kα (λ = 1.5418 Å). Input: a GGA-PBE-relaxed structure.
Intensities are scaled so that the largest is 100.

Cell: 5.0962 6.5811 8.5134 Å, 90.00 94.80 90.00°
Space group P2_1/m (No. 11)
Asymmetric unit:
1 Li 0.2426 0.2500 0.0926
2 Sn 0.1983 0.7500 0.3232
3 P 0.2803 0.2500 0.4195
4 C 0.3014 0.7500 0.0350
5 O 0.0518 0.7500 0.0769
6 O 0.1451 0.2500 0.5748
7 O 0.2040 0.0672 0.3099
8 O 0.3633 0.7500 0.8967
9 O 0.4192 0.7500 0.5338
10 O 0.4787 0.7500 0.1585

Largest 10 diffraction maxima, in order of rising 2θ, 2θ from 10° to 90°:
two_theta, I (rel.), (hkl)
10.43, 84, 0 0 1
17.05, 97, 0 1 1
19.61, 64, 1 0 -1
21.13, 87, 1 0 1
22.11, 49, 1 1 0
26.22, 47, 1 0 -2
27.10, 100, 0 2 0
31.65, 43, 0 0 3
42.20, 27, 2 1 -2
44.89, 27, 1 0 -4